Record 1
Diffraction record for LiVF5. The powder diffraction line list is simulated, not measured: it uses a DFT-relaxed cell (PBE+U, the Materials Project) and Cu Kα, 1.54184 Å.
Lines closer than 0.1° are merged.

Cell lengths 10.6343, 10.6343, 10.6343 Å; angles 95.84, 95.84, 142.80 degrees
Sites, in units of the cell vectors:
Li  0.1393  0.8597  0.0512
Li  0.3085  0.0881  0.4488
Li  0.3597  0.8085  0.7204
Li  0.4119  0.3607  0.2204
Li  0.5881  0.6393  0.7796
Li  0.6403  0.1915  0.2796
Li  0.6915  0.9119  0.5512
Li  0.8607  0.1403  0.9488
V  0.1741  0.3197  0.4583
V  0.1803  0.1385  0.8544
V  0.2158  0.6741  0.3544
V  0.3615  0.7158  0.0417
V  0.6385  0.2842  0.9583
V  0.7842  0.3259  0.6456
V  0.8197  0.8615  0.1456
V  0.8259  0.6803  0.5417
F  0.0116  0.7973  0.4440
F  0.0676  0.5116  0.7143
F  0.0856  0.9683  0.6775
F  0.0905  0.9237  0.9071
F  0.0915  0.9972  0.1803
F  0.0919  0.4144  0.3827
F  0.1466  0.4324  0.9440
F  0.2092  0.5919  0.1775
F  0.2177  0.7468  0.9952
F  0.2468  0.7516  0.5291
F  0.2516  0.2225  0.5048
F  0.2775  0.2823  0.0291
F  0.2973  0.3534  0.7857
F  0.3166  0.4095  0.3332
F  0.3169  0.9112  0.3197
F  0.4112  0.5915  0.5942
F  0.4237  0.0166  0.8332
F  0.4683  0.2908  0.8827
F  0.4834  0.8166  0.4071
F  0.4972  0.8169  0.9058
F  0.5028  0.1831  0.0942
F  0.5166  0.1834  0.5929
F  0.5317  0.7092  0.1173
F  0.5763  0.9834  0.1668
F  0.5888  0.4085  0.4058
F  0.6831  0.0888  0.6803
F  0.6834  0.5905  0.6668
F  0.7027  0.6466  0.2143
F  0.7225  0.7177  0.9709
F  0.7484  0.7775  0.4952
F  0.7532  0.2484  0.4709
F  0.7823  0.2532  0.0048
F  0.7908  0.4081  0.8225
F  0.8534  0.5676  0.0560
F  0.9081  0.5856  0.6173
F  0.9085  0.0028  0.8197
F  0.9095  0.0763  0.0929
F  0.9144  0.0317  0.3225
F  0.9324  0.4884  0.2857
F  0.9884  0.2027  0.5560

The 12 most intense peaks (2θ = 10–90°), in order of falling intensity:
2θ 19.11, I = 100
2θ 38.77, I = 43
2θ 27.99, I = 42
2θ 17.60, I = 23
2θ 22.85, I = 21
2θ 26.09, I = 21
2θ 29.16, I = 19
2θ 12.42, I = 16
2θ 44.69, I = 15
2θ 57.86, I = 15
2θ 51.59, I = 13
2θ 31.80, I = 11

Record 2
Diffraction record for LiVF5. The powder diffraction line list is simulated, not measured: it uses a DFT-relaxed cell (PBE+U, the Materials Project) and Cu Kα, 1.54184 Å.
Lines closer than 0.1° are merged.

Cell lengths 6.3227, 8.7452, 8.8764 Å; angles 90.00, 130.70, 90.00 degrees
Sites, in units of the cell vectors:
Li  0.0281  0.1038  0.2821
Li  0.0281  0.3962  0.7821
Li  0.9719  0.6038  0.2179
Li  0.9719  0.8962  0.7179
V  0.3867  0.1229  0.0685
V  0.3867  0.3771  0.5685
V  0.6133  0.6229  0.4315
V  0.6133  0.8771  0.9315
F  0.0716  0.1185  0.8005
F  0.0716  0.3815  0.3005
F  0.2123  0.1091  0.1698
F  0.2123  0.3909  0.6698
F  0.2679  0.6107  0.1873
F  0.2679  0.8893  0.6873
F  0.3587  0.1676  0.5444
F  0.3587  0.3324  0.0444
F  0.3851  0.6040  0.5211
F  0.3851  0.8960  0.0211
F  0.6149  0.1040  0.9789
F  0.6149  0.3960  0.4789
F  0.6413  0.6676  0.9556
F  0.6413  0.8324  0.4556
F  0.7321  0.1107  0.3127
F  0.7321  0.3893  0.8127
F  0.7877  0.6091  0.3302
F  0.7877  0.8909  0.8302
F  0.9284  0.6185  0.6995
F  0.9284  0.8815  0.1995

The 12 most intense peaks (2θ = 10–90°), in order of falling intensity:
2θ 16.62, I = 100
2θ 22.50, I = 47
2θ 41.29, I = 41
2θ 24.78, I = 38
2θ 41.66, I = 36
2θ 21.14, I = 34
2θ 18.51, I = 31
2θ 46.28, I = 26
2θ 24.27, I = 24
2θ 17.34, I = 22
2θ 60.10, I = 16
2θ 28.32, I = 14

Record 3
Diffraction record for Li3VF6. The powder diffraction line list is simulated, not measured: it uses a DFT-relaxed cell (PBE+U, the Materials Project) and Cu Kα, 1.54184 Å.
Lines closer than 0.1° are merged.

Cell lengths 5.1847, 5.2269, 9.3193 Å; angles 90.00, 123.42, 90.00 degrees
Sites, in units of the cell vectors:
Li  0.0000  0.0000  0.0000
Li  0.0000  0.5000  0.5000
Li  0.2221  0.0308  0.7364
Li  0.2221  0.4692  0.2364
Li  0.7779  0.5308  0.7636
Li  0.7779  0.9692  0.2636
V  0.5000  0.0000  0.5000
V  0.5000  0.5000  0.0000
F  0.1330  0.0949  0.2616
F  0.1330  0.4051  0.7615
F  0.2312  0.6714  0.0575
F  0.2312  0.8286  0.5575
F  0.4270  0.1825  0.0827
F  0.4270  0.3175  0.5827
F  0.5730  0.6825  0.4173
F  0.5730  0.8175  0.9173
F  0.7688  0.1714  0.4425
F  0.7688  0.3286  0.9425
F  0.8670  0.5949  0.2384
F  0.8670  0.9051  0.7385

The 12 most intense peaks (2θ = 10–90°), in order of falling intensity:
2θ 20.49, I = 100
2θ 38.75, I = 78
2θ 24.18, I = 44
2θ 22.87, I = 31
2θ 20.65, I = 31
2θ 40.61, I = 28
2θ 40.38, I = 21
2θ 36.26, I = 20
2θ 49.53, I = 17
2θ 42.56, I = 16
2θ 61.47, I = 14
2θ 53.16, I = 13

Record 4
Diffraction record for Li2VF4. The powder diffraction line list is simulated, not measured: it uses a DFT-relaxed cell (PBE+U, the Materials Project) and Cu Kα, 1.54184 Å.
Lines closer than 0.1° are merged.

Cell lengths 8.2070, 8.2070, 8.2070 Å; angles 98.92, 98.92, 98.92 degrees
Sites, in units of the cell vectors:
Li  0.1118  0.2806  0.8305
Li  0.1695  0.8882  0.7194
Li  0.2431  0.4728  0.5607
Li  0.2806  0.8305  0.1118
Li  0.4393  0.7569  0.5272
Li  0.4728  0.5607  0.2431
Li  0.5272  0.4393  0.7569
Li  0.5607  0.2431  0.4728
Li  0.7194  0.1695  0.8882
Li  0.7569  0.5272  0.4393
Li  0.8305  0.1118  0.2806
Li  0.8882  0.7194  0.1695
V  0.0850  0.4450  0.1801
V  0.1801  0.0850  0.4450
V  0.4450  0.1801  0.0850
V  0.5550  0.8199  0.9150
V  0.8199  0.9150  0.5550
V  0.9150  0.5550  0.8199
F  0.0483  0.2521  0.3232
F  0.0573  0.0819  0.6666
F  0.0819  0.6666  0.0573
F  0.0929  0.4492  0.7064
F  0.2521  0.3232  0.0483
F  0.2881  0.5690  0.3684
F  0.2936  0.9071  0.5508
F  0.3232  0.0483  0.2521
F  0.3334  0.9427  0.9181
F  0.3684  0.2881  0.5690
F  0.4310  0.6316  0.7119
F  0.4492  0.7064  0.0929
F  0.5508  0.2936  0.9071
F  0.5690  0.3684  0.2881
F  0.6316  0.7119  0.4310
F  0.6666  0.0573  0.0819
F  0.6768  0.9517  0.7479
F  0.7064  0.0929  0.4492
F  0.7119  0.4310  0.6316
F  0.7479  0.6768  0.9517
F  0.9071  0.5508  0.2936
F  0.9181  0.3334  0.9427
F  0.9427  0.9181  0.3334
F  0.9517  0.7479  0.6768

The 12 most intense peaks (2θ = 10–90°), in order of falling intensity:
2θ 17.12, I = 100
2θ 18.06, I = 71
2θ 23.05, I = 58
2θ 26.79, I = 53
2θ 38.18, I = 46
2θ 24.72, I = 30
2θ 46.13, I = 27
2θ 58.26, I = 27
2θ 44.31, I = 26
2θ 52.93, I = 26
2θ 28.62, I = 25
2θ 39.43, I = 23

Record 5
Diffraction record for LiVF5. The powder diffraction line list is simulated, not measured: it uses a DFT-relaxed cell (PBE+U, the Materials Project) and Cu Kα, 1.54184 Å.
Lines closer than 0.1° are merged.

Cell lengths 9.4023, 7.9055, 13.3651 Å; angles 90.00, 128.59, 90.00 degrees
Sites, in units of the cell vectors:
Li  0.1637  0.1581  0.0274
Li  0.1637  0.3419  0.5274
Li  0.2845  0.6345  0.9119
Li  0.2845  0.8655  0.4119
Li  0.7155  0.1345  0.5881
Li  0.7155  0.3655  0.0881
Li  0.8363  0.6581  0.4726
Li  0.8363  0.8419  0.9726
V  0.2916  0.7252  0.1673
V  0.2916  0.7748  0.6673
V  0.3006  0.2003  0.8168
V  0.3006  0.2997  0.3168
V  0.6994  0.7003  0.6832
V  0.6994  0.7997  0.1832
V  0.7084  0.2252  0.3327
V  0.7084  0.2748  0.8327
F  0.0560  0.7298  0.1134
F  0.0560  0.7702  0.6134
F  0.1184  0.2455  0.6482
F  0.1184  0.2545  0.1482
F  0.1719  0.0925  0.8585
F  0.1719  0.4075  0.3585
F  0.2350  0.5939  0.0342
F  0.2350  0.9061  0.5342
F  0.2433  0.5732  0.5789
F  0.2433  0.9268  0.0789
F  0.2566  0.0953  0.3626
F  0.2566  0.4047  0.8626
F  0.3414  0.5168  0.2666
F  0.3414  0.9832  0.7666
F  0.3840  0.6624  0.8150
F  0.3840  0.8376  0.3150
F  0.4513  0.2040  0.2664
F  0.4513  0.2960  0.7664
F  0.4761  0.6904  0.5260
F  0.4761  0.8096  0.0260
F  0.5239  0.1904  0.9740
F  0.5239  0.3096  0.4740
F  0.5487  0.7040  0.2336
F  0.5487  0.7960  0.7336
F  0.6160  0.1624  0.6850
F  0.6160  0.3376  0.1850
F  0.6586  0.0168  0.2334
F  0.6586  0.4832  0.7334
F  0.7434  0.5953  0.1374
F  0.7434  0.9047  0.6374
F  0.7567  0.0732  0.9211
F  0.7567  0.4268  0.4211
F  0.7650  0.0939  0.4658
F  0.7650  0.4061  0.9658
F  0.8281  0.5925  0.6415
F  0.8281  0.9075  0.1415
F  0.8816  0.7455  0.8518
F  0.8816  0.7545  0.3518
F  0.9440  0.2298  0.3866
F  0.9440  0.2702  0.8866

The 12 most intense peaks (2θ = 10–90°), in order of falling intensity:
2θ 20.38, I = 100
2θ 22.49, I = 48
2θ 24.22, I = 39
2θ 22.08, I = 35
2θ 12.04, I = 34
2θ 16.97, I = 31
2θ 18.98, I = 30
2θ 29.59, I = 24
2θ 17.44, I = 20
2θ 13.33, I = 16
2θ 49.99, I = 16
2θ 43.42, I = 14

Record 6
Diffraction record for Li3VF6. The powder diffraction line list is simulated, not measured: it uses a DFT-relaxed cell (PBE+U, the Materials Project) and Cu Kα, 1.54184 Å.
Lines closer than 0.1° are merged.

Cell lengths 5.1542, 5.1542, 9.7042 Å; angles 90.00, 90.00, 120.00 degrees
Sites, in units of the cell vectors:
Li  0.0000  0.0000  0.2500
Li  0.0000  0.0000  0.7500
Li  0.3333  0.6667  0.0530
Li  0.3333  0.6667  0.4470
Li  0.6667  0.3333  0.5530
Li  0.6667  0.3333  0.9470
V  0.3333  0.6667  0.7500
V  0.6667  0.3333  0.2500
F  0.0278  0.3553  0.6309
F  0.0278  0.6725  0.8691
F  0.3275  0.3553  0.8691
F  0.3275  0.9722  0.6309
F  0.3553  0.0278  0.1309
F  0.3553  0.3275  0.3691
F  0.6447  0.6725  0.6309
F  0.6447  0.9722  0.8691
F  0.6725  0.0278  0.3691
F  0.6725  0.6447  0.1309
F  0.9722  0.3275  0.1309
F  0.9722  0.6447  0.3691

The 12 most intense peaks (2θ = 10–90°), in order of falling intensity:
2θ 21.92, I = 100
2θ 39.60, I = 96
2θ 51.75, I = 45
2θ 18.28, I = 35
2θ 62.41, I = 25
2θ 34.23, I = 25
2θ 19.89, I = 23
2θ 68.49, I = 17
2θ 49.63, I = 16
2θ 62.04, I = 13
2θ 55.27, I = 9
2θ 76.49, I = 7

Record 7
Diffraction record for LiVF6. The powder diffraction line list is simulated, not measured: it uses a DFT-relaxed cell (PBE+U, the Materials Project) and Cu Kα, 1.54184 Å.
Lines closer than 0.1° are merged.

Cell lengths 5.4711, 5.4711, 5.4711 Å; angles 60.00, 60.00, 60.00 degrees
Sites, in units of the cell vectors:
Li  0.0000  0.0000  0.0000
V  0.5000  0.5000  0.5000
F  0.2656  0.2656  0.7344
F  0.2656  0.7344  0.2656
F  0.2656  0.7344  0.7344
F  0.7344  0.2656  0.2656
F  0.7344  0.2656  0.7344
F  0.7344  0.7344  0.2656

The 12 most intense peaks (2θ = 10–90°), in order of falling intensity:
2θ 22.99, I = 100
2θ 19.88, I = 66
2θ 46.98, I = 38
2θ 52.92, I = 30
2θ 68.62, I = 18
2θ 38.59, I = 17
2θ 73.43, I = 12
2θ 40.38, I = 10
2θ 62.36, I = 10
2θ 72.24, I = 8
2θ 87.31, I = 5
2θ 51.48, I = 3

Record 8
Diffraction record for Li2VF4. The powder diffraction line list is simulated, not measured: it uses a DFT-relaxed cell (PBE+U, the Materials Project) and Cu Kα, 1.54184 Å.
Lines closer than 0.1° are merged.

Cell lengths 4.1726, 4.1726, 8.9994 Å; angles 90.00, 90.00, 90.00 degrees
Sites, in units of the cell vectors:
Li  0.0000  0.5000  0.2500
Li  0.0000  0.5000  0.7500
Li  0.5000  0.0000  0.2500
Li  0.5000  0.0000  0.7500
V  0.0000  0.0000  0.0000
V  0.5000  0.5000  0.5000
F  0.0000  0.0000  0.2342
F  0.0000  0.0000  0.7658
F  0.0000  0.5000  0.0000
F  0.0000  0.5000  0.5000
F  0.5000  0.0000  0.0000
F  0.5000  0.0000  0.5000
F  0.5000  0.5000  0.2658
F  0.5000  0.5000  0.7342

The 12 most intense peaks (2θ = 10–90°), in order of falling intensity:
2θ 23.50, I = 100
2θ 43.37, I = 57
2θ 40.08, I = 35
2θ 60.52, I = 33
2θ 49.91, I = 22
2θ 19.73, I = 21
2θ 63.01, I = 15
2θ 36.90, I = 15
2θ 77.35, I = 14
2θ 30.29, I = 14
2θ 55.61, I = 12
2θ 73.04, I = 9

Record 9
Diffraction record for LiVF6. The powder diffraction line list is simulated, not measured: it uses a DFT-relaxed cell (PBE+U, the Materials Project) and Cu Kα, 1.54184 Å.
Lines closer than 0.1° are merged.

Cell lengths 5.3351, 10.4525, 10.3680 Å; angles 90.00, 100.56, 90.00 degrees
Sites, in units of the cell vectors:
Li  0.1102  0.1764  0.1201
Li  0.1102  0.3236  0.6201
Li  0.8898  0.6764  0.3799
Li  0.8898  0.8236  0.8799
V  0.2471  0.6472  0.6983
V  0.2471  0.8528  0.1983
V  0.7529  0.1472  0.8017
V  0.7529  0.3528  0.3017
F  0.0402  0.2083  0.7454
F  0.0402  0.2917  0.2454
F  0.0663  0.0006  0.1436
F  0.0663  0.4994  0.6436
F  0.1086  0.7210  0.5384
F  0.1086  0.7790  0.0384
F  0.3505  0.5739  0.8531
F  0.3505  0.9261  0.3531
F  0.4166  0.7083  0.2534
F  0.4166  0.7917  0.7534
F  0.4972  0.0878  0.8725
F  0.4972  0.4122  0.3725
F  0.5028  0.5878  0.6275
F  0.5028  0.9122  0.1275
F  0.5834  0.2083  0.2466
F  0.5834  0.2917  0.7466
F  0.6495  0.0739  0.6469
F  0.6495  0.4261  0.1469
F  0.8914  0.2210  0.9616
F  0.8914  0.2790  0.4616
F  0.9337  0.5006  0.3564
F  0.9337  0.9994  0.8564
F  0.9598  0.7083  0.7546
F  0.9598  0.7917  0.2546

The 12 most intense peaks (2θ = 10–90°), in order of falling intensity:
2θ 19.08, I = 100
2θ 18.93, I = 78
2θ 17.40, I = 67
2θ 19.50, I = 56
2θ 12.13, I = 48
2θ 39.34, I = 19
2θ 22.13, I = 16
2θ 19.38, I = 16
2θ 40.26, I = 15
2θ 27.89, I = 14
2θ 16.96, I = 13
2θ 21.98, I = 13